No. 1
Structure and theoretical PXRD pattern of LiMgVO4 (a DFT-relaxed cell (PBE+U, the Materials Project); Cu Kα X-rays).

Principal peaks in the range 2θ from 10° to 90°, low angle first:
23.33°, d 3.812, I = 100, (1 1 1); 24.82°, d 3.588, I = 65, (0 2 1); 31.31°, d 2.857, I = 42, (2 0 0); 34.00°, d 2.637, I = 78, (1 1 2); 34.64°, d 2.589, I = 48, (1 3 0); 37.65°, d 2.389, I = 22, (2 2 0); 40.36°, d 2.235, I = 15, (2 2 1); 50.90°, d 1.794, I = 16, (0 4 2); 58.38°, d 1.581, I = 22, (0 0 4); 60.99°, d 1.519, I = 49, (2 4 2)

Atomic structure:
Lattice parameters (Å, degrees): 5.7139 8.7143 6.3233 90.00 90.00 90.00
Space group Cmcm (No. 63)
Symmetry-distinct sites (fractional):
Li1 0.0000 0.1627 0.2500 x4
Mg1 0.0000 0.5000 0.0000 x4
V1 0.0000 0.1458 0.7500 x4
O1 0.0000 0.2601 0.5295 x8
O2 0.2458 0.0198 0.7500 x8

=====

No. 2
Structure and theoretical PXRD pattern of Li3MgV8O16 (a DFT-relaxed cell (PBE+U, the Materials Project); Cu Kα X-rays).

Principal peaks in the range 2θ from 10° to 90°, low angle first:
17.68°, d 5.018, I = 15, (1 0 1); 18.24°, d 4.863, I = 52, (0 0 6); 18.45°, d 4.809, I = 79, (0 1 2); 35.45°, d 2.532, I = 28, (1 0 10); 35.68°, d 2.517, I = 56, (1 1 6); 35.79°, d 2.509, I = 40, (2 0 2); 43.33°, d 2.088, I = 100, (2 0 8); 57.34°, d 1.607, I = 19, (2 1 10); 62.65°, d 1.483, I = 40, (0 2 16); 63.24°, d 1.470, I = 40, (2 2 0)

Atomic structure:
Lattice parameters (Å, degrees): 5.8818 5.8818 29.1800 90.00 90.00 120.00
Space group R3m (No. 160, hexagonal axes)
Symmetry-distinct sites (fractional):
Li1 0.0000 0.0000 0.0000 x3
Li2 0.0000 0.0000 0.1215 x3
Li3 0.0000 0.0000 0.4974 x3
Mg1 0.0000 0.0000 0.3092 x3
V1 0.0000 0.0000 0.6221 x3
V2 0.0000 0.0000 0.8073 x3
V3 0.0149 0.5075 0.5568 x9
V4 0.0182 0.5091 0.0608 x9
O1 0.0000 0.0000 0.1918 x3
O2 0.0000 0.0000 0.4328 x3
O3 0.0000 0.0000 0.6876 x3
O4 0.0000 0.0000 0.9296 x3
O5 0.0114 0.5057 0.9312 x9
O6 0.0316 0.5158 0.4309 x9
O7 0.1792 0.3585 0.0219 x9
O8 0.1795 0.3590 0.5172 x9